[1]
For K2TlSn2, a GGA-PBE-relaxed structure gives the computed powder X-ray diffraction pattern in this record (Cu Kα).

Main lines, in order of falling intensity (2θ = 5–70°):
h k l	d (Å)	Position (°2θ)	I_rel
1 1 0	6.033	14.68	100
2 2 1	2.772	32.30	70
1 1 1	4.792	18.51	63
1 1 -3	2.865	31.22	49
3 1 -2	3.009	29.69	43
0 2 1	3.306	26.97	36
5 1 -1	2.233	40.39	35
4 0 -2	2.720	32.93	34
2 0 2	3.252	27.43	29
2 2 -3	2.284	39.45	27

Atomic structure:
abc: 11.7818 7.0889 9.4056
angles: 90.00 102.76 90.00
Space group C2/c (No. 15)
One atom of each set of equivalent atoms:
K (0.1477, 0.1445, 0.1389)
Tl (0.0000, 0.3941, 0.7500)
Sn (0.1429, 0.3427, 0.4989)

[2]
For PrP2PtO8, a GGA-PBE-relaxed structure gives the computed powder X-ray diffraction pattern in this record (Cu Kα).

Main lines, in order of falling intensity (2θ = 5–70°):
h k l	d (Å)	Position (°2θ)	I_rel
1 0 0	4.473	19.85	100
0 1 2	2.781	32.19	74
1 1 0	2.582	34.74	43
1 1 2	2.089	43.32	35
2 0 2	1.892	48.08	34
1 2 2	1.526	60.67	25
1 0 1	3.785	23.51	20
1 1 4	1.463	63.61	15
2 1 0	1.691	54.26	14
1 0 4	1.650	55.71	13

Atomic structure:
abc: 5.1647 5.1647 7.1006
angles: 90.00 90.00 120.00
Space group P-3m1 (No. 164)
One atom of each set of equivalent atoms:
Pr (0.0000, 0.0000, 0.0000)
P (0.3333, 0.6667, 0.2269)
Pt (0.0000, 0.0000, 0.5000)
O (0.1671, 0.3341, 0.2887)
O (0.3333, 0.6667, 0.0102)